Record 1
For Hg3H6PtN2Cl8, a PBE-relaxed structure gives the theoretical XRD peak list in this record (CuKα).
No peak broadening, texture or thermal motion is included.

The 10 most intense peaks (10 to 90 degrees two-theta), by angle:
| two_theta | I_rel |
| --- | --- |
| 14.0 | 100 |
| 15.2 | 57 |
| 18.5 | 43 |
| 19.9 | 81 |
| 26.8 | 60 |
| 28.5 | 52 |
| 29.9 | 80 |
| 31.7 | 35 |
| 34.3 | 78 |
| 42.8 | 35 |

Cell and atoms:
```
Hg3H6PtN2Cl8
1.0
9.681 -3.355 0.000
9.681 3.355 0.000
-1.902 0.000 13.155
Hg H Pt N Cl
6 12 2 4 16
Direct
0.000 0.000 0.000
0.000 0.000 0.500
0.183 0.213 0.420
0.213 0.183 0.920
0.787 0.817 0.080
0.817 0.787 0.580
0.245 0.515 0.281
0.382 0.442 0.707
0.409 0.468 0.831
0.442 0.382 0.207
0.468 0.409 0.331
0.485 0.755 0.219
0.515 0.245 0.781
0.532 0.591 0.669
0.558 0.618 0.793
0.591 0.532 0.169
0.618 0.558 0.293
0.755 0.485 0.719
0.229 0.771 0.250
0.771 0.229 0.750
0.364 0.485 0.269
0.485 0.364 0.769
0.515 0.636 0.231
0.636 0.515 0.731
0.025 0.467 0.650
0.073 0.092 0.227
0.092 0.073 0.727
0.112 0.586 0.008
0.224 0.651 0.533
0.349 0.776 0.967
0.414 0.888 0.492
0.467 0.025 0.150
0.533 0.975 0.850
0.586 0.112 0.508
0.651 0.224 0.033
0.776 0.349 0.467
0.888 0.414 0.992
0.908 0.927 0.273
0.927 0.908 0.773
0.975 0.533 0.350
```

=====

Record 2
For Te2Mo2WSe4, a PBE-relaxed structure gives the theoretical XRD peak list in this record (CuKα).
No peak broadening, texture or thermal motion is included.

The 10 most intense peaks (10 to 90 degrees two-theta), by angle:
| two_theta | I_rel |
| --- | --- |
| 11.3 | 100 |
| 30.3 | 35 |
| 32.4 | 17 |
| 34.9 | 48 |
| 36.5 | 61 |
| 40.0 | 14 |
| 42.0 | 25 |
| 44.2 | 48 |
| 53.9 | 35 |
| 76.0 | 14 |

Cell and atoms:
```
Te2Mo2WSe4
1.0
3.404 0.000 0.000
-1.702 2.948 0.000
0.000 0.000 31.401
Te Mo W Se
2 2 1 4
Direct
0.000 0.000 0.000
0.000 0.000 0.120
0.000 0.000 0.829
0.667 0.333 0.597
0.667 0.333 0.060
0.000 0.000 0.545
0.000 0.000 0.650
0.667 0.333 0.776
0.667 0.333 0.881
```

=====

Record 3
For NaSrNbSbO6, a PBE-relaxed structure gives the theoretical XRD peak list in this record (CuKα).
No peak broadening, texture or thermal motion is included.

The 10 most intense peaks (10 to 90 degrees two-theta), by angle:
| two_theta | I_rel |
| --- | --- |
| 18.7 | 11 |
| 21.6 | 28 |
| 30.7 | 100 |
| 44.0 | 37 |
| 49.5 | 11 |
| 54.6 | 40 |
| 64.0 | 22 |
| 72.6 | 17 |
| 80.9 | 7 |
| 89.0 | 21 |

Cell and atoms:
```
NaSrNbSbO6
1.0
0.000 4.117 4.117
4.117 0.000 4.117
4.117 4.117 0.000
Na Sr Nb Sb O
1 1 1 1 6
Direct
0.000 0.000 0.000
0.500 0.500 0.500
0.750 0.750 0.750
0.250 0.250 0.250
0.506 0.506 0.994
0.506 0.994 0.506
0.506 0.994 0.994
0.994 0.506 0.506
0.994 0.506 0.994
0.994 0.994 0.506
```

=====

Record 4
For KBiF6, a PBE-relaxed structure gives the theoretical XRD peak list in this record (CuKα).
No peak broadening, texture or thermal motion is included.

The 10 most intense peaks (10 to 90 degrees two-theta), by angle:
| two_theta | I_rel |
| --- | --- |
| 16.3 | 77 |
| 17.5 | 32 |
| 23.1 | 66 |
| 24.0 | 100 |
| 29.1 | 29 |
| 41.1 | 57 |
| 42.7 | 22 |
| 49.1 | 18 |
| 52.1 | 16 |
| 65.5 | 15 |

Cell and atoms:
```
KBiF6
1.0
5.451 0.000 0.000
0.000 5.451 0.000
0.000 0.000 10.126
K Bi F
2 2 12
Direct
0.000 0.000 0.000
0.000 0.000 0.500
0.500 0.500 0.250
0.500 0.500 0.750
0.233 0.233 0.250
0.233 0.767 0.750
0.298 0.321 0.609
0.298 0.679 0.109
0.321 0.298 0.891
0.321 0.702 0.391
0.679 0.298 0.391
0.679 0.702 0.891
0.702 0.321 0.109
0.702 0.679 0.609
0.767 0.233 0.750
0.767 0.767 0.250
```

=====

Record 5
For HfMg6SnO8, a PBE-relaxed structure gives the theoretical XRD peak list in this record (CuKα).
No peak broadening, texture or thermal motion is included.

The 10 most intense peaks (10 to 90 degrees two-theta), by angle:
| two_theta | I_rel |
| --- | --- |
| 19.7 | 41 |
| 28.0 | 34 |
| 29.8 | 76 |
| 34.5 | 61 |
| 40.0 | 100 |
| 41.3 | 39 |
| 45.0 | 20 |
| 57.9 | 62 |
| 66.5 | 23 |
| 69.2 | 29 |

Cell and atoms:
```
HfMg6SnO8
1.0
4.502 0.000 0.000
0.000 4.502 0.000
0.000 0.000 9.015
Hf Mg Sn O
1 6 1 8
Direct
0.000 0.000 0.000
0.000 0.000 0.500
0.000 0.500 0.268
0.000 0.500 0.732
0.500 0.000 0.268
0.500 0.000 0.732
0.500 0.500 0.500
0.500 0.500 0.000
0.000 0.000 0.259
0.000 0.000 0.741
0.000 0.500 0.000
0.000 0.500 0.500
0.500 0.000 0.000
0.500 0.000 0.500
0.500 0.500 0.277
0.500 0.500 0.723
```

=====

Record 6
For FeNi3, a PBE-relaxed structure gives the theoretical XRD peak list in this record (CuKα).
No peak broadening, texture or thermal motion is included.

The 10 most intense peaks (10 to 90 degrees two-theta), by angle:
| two_theta | I_rel |
| --- | --- |
| 41.4 | 13 |
| 41.6 | 25 |
| 44.7 | 40 |
| 47.3 | 50 |
| 47.5 | 100 |
| 62.7 | 13 |
| 75.6 | 15 |
| 76.1 | 7 |
| 84.3 | 8 |
| 84.4 | 16 |

Cell and atoms:
```
FeNi3
1.0
4.055 0.000 0.000
0.000 5.004 0.000
0.000 0.000 4.363
Fe Ni
2 6
Direct
0.250 0.250 0.166
0.750 0.750 0.834
0.250 0.002 0.667
0.250 0.498 0.667
0.250 0.750 0.170
0.750 0.250 0.830
0.750 0.502 0.333
0.750 0.998 0.333
```

=====

Record 7
For TeMoWSeS2, a PBE-relaxed structure gives the theoretical XRD peak list in this record (CuKα).
No peak broadening, texture or thermal motion is included.

The 10 most intense peaks (10 to 90 degrees two-theta), by angle:
| two_theta | I_rel |
| --- | --- |
| 11.8 | 100 |
| 14.1 | 16 |
| 18.9 | 18 |
| 31.3 | 54 |
| 33.5 | 15 |
| 36.8 | 83 |
| 44.5 | 42 |
| 46.4 | 13 |
| 55.6 | 27 |
| 68.6 | 13 |

Cell and atoms:
```
TeMoWSeS2
1.0
3.304 0.000 0.000
-1.652 2.861 0.000
0.000 0.000 37.623
Te Mo W Se S
2 2 2 2 4
Direct
0.000 0.000 0.000
0.000 0.000 0.102
0.667 0.333 0.051
0.667 0.333 0.675
0.000 0.000 0.239
0.000 0.000 0.863
0.000 0.000 0.630
0.000 0.000 0.720
0.667 0.333 0.198
0.667 0.333 0.279
0.667 0.333 0.822
0.667 0.333 0.904
```

=====

Record 8
For InPd2, a PBE-relaxed structure gives the theoretical XRD peak list in this record (CuKα).
No peak broadening, texture or thermal motion is included.

The 10 most intense peaks (10 to 90 degrees two-theta), by angle:
| two_theta | I_rel |
| --- | --- |
| 37.8 | 76 |
| 38.1 | 15 |
| 38.5 | 100 |
| 39.4 | 33 |
| 42.3 | 42 |
| 45.4 | 41 |
| 63.7 | 29 |
| 73.4 | 10 |
| 74.8 | 14 |
| 79.6 | 11 |

Cell and atoms:
```
InPd2
1.0
5.721 0.000 0.000
0.000 4.275 0.000
0.000 0.000 8.387
In Pd
4 8
Direct
0.178 0.250 0.100
0.322 0.750 0.600
0.678 0.250 0.400
0.822 0.750 0.900
0.067 0.250 0.769
0.159 0.250 0.428
0.341 0.750 0.928
0.433 0.750 0.269
0.567 0.250 0.731
0.659 0.250 0.072
0.841 0.750 0.572
0.933 0.750 0.231
```